No. 1
Theoretical powder diffraction line list
Compound: Y2O3
Radiation: Cu Kα
Structure: the GGA-PBE geometry in the Materials Project
No peak broadening, texture or thermal motion is included.

Crystal structure
```
data_Y2O3
_cell_length_a 14.1228
_cell_length_b 3.5160
_cell_length_c 8.6953
_cell_angle_alpha 90.00
_cell_angle_beta 100.41
_cell_angle_gamma 90.00
_symmetry_space_group_name_H-M 'C 1 2/m 1'
_symmetry_Int_Tables_number 12
_symmetry_space_group_name_Hall '-C 2y'
loop_
_atom_site_label
_atom_site_fract_x
_atom_site_fract_y
_atom_site_fract_z
Y1 0.0320 0.0000 0.3140
Y2 0.1352 0.5000 0.9880
Y3 0.1914 0.5000 0.6373
O1 0.0000 0.5000 0.5000
O2 0.0290 0.5000 0.1571
O3 0.1280 0.0000 0.7818
O4 0.1745 0.0000 0.4695
O5 0.2067 0.0000 0.1226
```

Most intense lines, 10° ≤ 2θ ≤ 90°, sorted by position:
- 2θ 28.62, I = 91, hkl 1 1 1
- 2θ 29.46, I = 92, hkl 4 0 1
- 2θ 30.08, I = 94, hkl 4 0 -2
- 2θ 31.38, I = 49, hkl 0 0 3
- 2θ 31.96, I = 71, hkl 3 1 0
- 2θ 32.87, I = 100, hkl 1 1 -2
- 2θ 42.72, I = 60, hkl 3 1 -3
- 2θ 47.96, I = 67, hkl 3 1 3

---

No. 2
Theoretical powder diffraction line list
Compound: Tb3Ir
Radiation: Cu Kα
Structure: the GGA-PBE geometry in the Materials Project
No peak broadening, texture or thermal motion is included.

Crystal structure
```
data_Tb3Ir
_cell_length_a 7.2640
_cell_length_b 9.3584
_cell_length_c 6.3700
_cell_angle_alpha 90.00
_cell_angle_beta 90.00
_cell_angle_gamma 90.00
_symmetry_space_group_name_H-M 'P n m a'
_symmetry_Int_Tables_number 62
_symmetry_space_group_name_Hall '-P 2ac 2n'
loop_
_atom_site_label
_atom_site_fract_x
_atom_site_fract_y
_atom_site_fract_z
Tb1 0.0353 0.2500 0.1346
Tb2 0.1764 0.0635 0.6713
Ir1 0.1183 0.7500 0.4486
```

Most intense lines, 10° ≤ 2θ ≤ 90°, sorted by position:
- 2θ 29.89, I = 28, hkl 2 1 1
- 2θ 31.17, I = 38, hkl 2 2 0
- 2θ 31.94, I = 42, hkl 0 3 1
- 2θ 32.14, I = 66, hkl 1 1 2
- 2θ 34.29, I = 100, hkl 1 3 1
- 2θ 36.29, I = 26, hkl 1 2 2
- 2θ 38.02, I = 33, hkl 2 3 0
- 2θ 39.83, I = 27, hkl 3 0 1

---

No. 3
Theoretical powder diffraction line list
Compound: HoNi2P2
Radiation: Cu Kα
Structure: the GGA-PBE geometry in the Materials Project
No peak broadening, texture or thermal motion is included.

Crystal structure
```
data_HoNi2P2
_cell_length_a 3.8628
_cell_length_b 3.8628
_cell_length_c 9.3630
_cell_angle_alpha 90.00
_cell_angle_beta 90.00
_cell_angle_gamma 90.00
_symmetry_space_group_name_H-M 'I 4/m m m'
_symmetry_Int_Tables_number 139
_symmetry_space_group_name_Hall '-I 4 2'
loop_
_atom_site_label
_atom_site_fract_x
_atom_site_fract_y
_atom_site_fract_z
Ho1 0.0000 0.0000 0.0000
Ni1 0.0000 0.5000 0.2500
P1 0.0000 0.0000 0.3775
```

Most intense lines, 10° ≤ 2θ ≤ 90°, sorted by position:
- 2θ 24.94, I = 47, hkl 1 0 1
- 2θ 37.03, I = 52, hkl 1 0 3
- 2θ 38.15, I = 100, hkl 1 1 2
- 2θ 47.05, I = 39, hkl 2 0 0
- 2θ 54.45, I = 18, hkl 1 0 5
- 2θ 61.34, I = 23, hkl 2 1 3
- 2θ 69.36, I = 16, hkl 1 1 6
- 2θ 81.42, I = 21, hkl 3 1 2